For Lu2CdC, a cell relaxed with GGA-PBE gives the calculated PXRD pattern in this record (λ = 1.5418 Å (Cu Kα)).
Peak positions follow from Bragg's law for the DFT cell and can differ from measured ones.

Atomic structure:
```
data_Lu2CdC
_chemical_formula_sum 'Lu12 Cd6 C6'
_symmetry_space_group_name_H-M 'P 1'
_symmetry_Int_Tables_number 1
_cell_length_a 6.055
_cell_length_b 6.055
_cell_length_c 16.437
_cell_angle_alpha 100.49
_cell_angle_beta 100.49
_cell_angle_gamma 59.94
loop_
_symmetry_equiv_pos_as_xyz
'x,y,z'
loop_
_atom_site_label
_atom_site_fract_x
_atom_site_fract_y
_atom_site_fract_z
Lu1 0.028 0.863 0.586
Lu2 0.137 0.972 0.914
Lu3 0.192 0.358 0.079
Lu4 0.306 0.475 0.421
Lu5 0.358 0.192 0.579
Lu6 0.475 0.306 0.921
Lu7 0.525 0.694 0.079
Lu8 0.642 0.808 0.421
Lu9 0.694 0.525 0.579
Lu10 0.808 0.642 0.921
Lu11 0.863 0.028 0.086
Lu12 0.972 0.137 0.414
Cd1 0.086 0.387 0.750
Cd2 0.387 0.086 0.250
Cd3 0.438 0.562 0.250
Cd4 0.562 0.438 0.750
Cd5 0.613 0.914 0.750
Cd6 0.914 0.613 0.250
C1 0.000 0.500 0.500
C2 0.163 0.673 0.000
C3 0.327 0.837 0.500
C4 0.500 0.000 0.000
C5 0.673 0.163 0.500
C6 0.837 0.327 0.000
```

Top 10 peaks for 2θ from 15° to 90°, sorted by position:
- 29.5°, d 3.027, rel. 17
- 30.0°, d 2.974, rel. 11
- 33.5°, d 2.678, rel. 29
- 34.0°, d 2.635, rel. 100
- 45.2°, d 2.007, rel. 9
- 52.4°, d 1.747, rel. 14
- 53.7°, d 1.707, rel. 11
- 60.1°, d 1.539, rel. 12
- 61.6°, d 1.507, rel. 8
- 87.2°, d 1.118, rel. 8